Cs2Pm3Br8: computed X-ray diffraction stick pattern (CuKα), based on the PBE geometry in Alexandria.

Largest 12 diffraction maxima, low angle first, 2θ from 10° to 90°:
7.478 Å, I = 24
4.867 Å, I = 29
4.311 Å, I = 33
3.739 Å, I = 25
3.413 Å, I = 39
3.018 Å, I = 68
2.929 Å, I = 100
2.642 Å, I = 42
2.497 Å, I = 23
2.170 Å, I = 28
2.057 Å, I = 23
2.039 Å, I = 46

```
data_Cs2Pm3Br8
_cell_length_a 18.3051
_cell_length_b 8.2293
_cell_length_c 7.0539
_cell_angle_alpha 90.00
_cell_angle_beta 101.91
_cell_angle_gamma 90.00
_space_group_name_H-M_alt 'C 1 2/m 1'
_space_group_IT_number 12
loop_
_space_group_symop_operation_xyz
'x,y,z'
'-x,-y,-z'
'-x,y,-z'
'x,-y,z'
'x+1/2,y+1/2,z'
'-x+1/2,-y+1/2,-z'
'-x+1/2,y+1/2,-z'
'x+1/2,-y+1/2,z'
loop_
_atom_site_label
_atom_site_fract_x
_atom_site_fract_y
_atom_site_fract_z
_atom_site_occupancy
Cs1 0.2435 0.0000 0.1812 1
Pm1 0.0000 0.2818 0.5000 1
Pm2 0.0000 0.5000 0.0000 1
Br1 0.0919 0.0000 0.4116 1
Br2 0.0987 0.2504 0.8897 1
Br3 0.1161 0.5000 0.3761 1
```

=====

NbV6In: computed X-ray diffraction stick pattern (CuKα), based on the PBE geometry in Alexandria.

Largest 12 diffraction maxima, low angle first, 2θ from 10° to 90°:
3.744 Å, I = 16
3.370 Å, I = 12
2.892 Å, I = 11
2.297 Å, I = 100
2.281 Å, I = 49
2.192 Å, I = 84
1.871 Å, I = 38
1.870 Å, I = 13
1.447 Å, I = 11
1.446 Å, I = 9
1.293 Å, I = 14
1.284 Å, I = 9

```
data_NbV6In
_cell_length_a 4.7589
_cell_length_b 5.3930
_cell_length_c 5.6751
_cell_angle_alpha 61.74
_cell_angle_beta 82.33
_cell_angle_gamma 73.47
_space_group_name_H-M_alt 'P 1'
_space_group_IT_number 1
loop_
_space_group_symop_operation_xyz
'x,y,z'
loop_
_atom_site_label
_atom_site_fract_x
_atom_site_fract_y
_atom_site_fract_z
_atom_site_occupancy
Nb1 0.0000 0.0000 0.0000 1
V1 0.9999 0.4789 0.0433 1
V2 0.0183 0.4885 0.4868 1
V3 0.4853 0.1361 0.2520 1
V4 0.4996 0.1363 0.7328 1
V5 0.5146 0.6170 0.2520 1
V6 0.9808 0.0281 0.4853 1
In1 0.4992 0.6291 0.7471 1
```

=====

CaAcLaZn: computed X-ray diffraction stick pattern (CuKα), based on the PBE geometry in Alexandria.

Largest 12 diffraction maxima, low angle first, 2θ from 10° to 90°:
4.719 Å, I = 10
3.519 Å, I = 41
3.146 Å, I = 14
2.956 Å, I = 100
2.682 Å, I = 45
2.041 Å, I = 17
2.003 Å, I = 12
1.896 Å, I = 16
1.771 Å, I = 14
1.690 Å, I = 11
1.669 Å, I = 10
1.596 Å, I = 32

```
data_CaAcLaZn
_cell_length_a 3.7928
_cell_length_b 3.7928
_cell_length_c 9.4373
_cell_angle_alpha 90.00
_cell_angle_beta 90.00
_cell_angle_gamma 90.00
_space_group_name_H-M_alt 'P 4 m m'
_space_group_IT_number 99
loop_
_space_group_symop_operation_xyz
'x,y,z'
'-y,x,z'
'-x,-y,z'
'y,-x,z'
'-x,y,z'
'y,x,z'
'x,-y,z'
'-y,-x,z'
loop_
_atom_site_label
_atom_site_fract_x
_atom_site_fract_y
_atom_site_fract_z
_atom_site_occupancy
Ca1 0.0000 0.0000 0.0000 1
Ac1 0.5000 0.5000 0.3219 1
La1 0.0000 0.0000 0.6165 1
Zn1 0.5000 0.5000 0.8102 1
```

=====

Pr4NdNi4: computed X-ray diffraction stick pattern (CuKα), based on the PBE geometry in Alexandria.

Largest 12 diffraction maxima, low angle first, 2θ from 10° to 90°:
3.258 Å, I = 74
2.840 Å, I = 50
2.741 Å, I = 100
2.494 Å, I = 10
2.376 Å, I = 31
2.083 Å, I = 18
2.026 Å, I = 12
1.938 Å, I = 32
1.878 Å, I = 28
1.723 Å, I = 17
1.666 Å, I = 24
1.419 Å, I = 11

```
data_Pr4NdNi4
_cell_length_a 8.6677
_cell_length_b 8.6677
_cell_length_c 6.0129
_cell_angle_alpha 90.00
_cell_angle_beta 90.00
_cell_angle_gamma 90.00
_space_group_name_H-M_alt 'P 42/n'
_space_group_IT_number 86
loop_
_space_group_symop_operation_xyz
'x,y,z'
'-x,-y,-z'
'-y,x+1/2,z+1/2'
'y,-x+1/2,-z+1/2'
'-x+1/2,-y+1/2,z'
'x+1/2,y+1/2,-z'
'y+1/2,-x,z+1/2'
'-y+1/2,x,-z+1/2'
loop_
_atom_site_label
_atom_site_fract_x
_atom_site_fract_y
_atom_site_fract_z
_atom_site_occupancy
Pr1 0.0580 0.6654 0.1508 1
Nd1 0.2500 0.2500 0.2500 1
Ni1 0.0240 0.6166 0.6278 1
```

=====

Na2Tl4Bi: computed X-ray diffraction stick pattern (CuKα), based on the PBE geometry in Alexandria.

Largest 12 diffraction maxima, low angle first, 2θ from 10° to 90°:
7.755 Å, I = 37
4.761 Å, I = 39
4.045 Å, I = 46
2.869 Å, I = 25
2.854 Å, I = 100
2.810 Å, I = 52
2.752 Å, I = 25
2.711 Å, I = 47
2.692 Å, I = 67
2.588 Å, I = 26
2.511 Å, I = 45
2.179 Å, I = 46

```
data_Na2Tl4Bi
_cell_length_a 8.6339
_cell_length_b 6.1760
_cell_length_c 9.0068
_cell_angle_alpha 90.00
_cell_angle_beta 116.08
_cell_angle_gamma 90.00
_space_group_name_H-M_alt 'P 1 21/m 1'
_space_group_IT_number 11
loop_
_space_group_symop_operation_xyz
'x,y,z'
'-x,-y,-z'
'-x,y+1/2,-z'
'x,-y+1/2,z'
loop_
_atom_site_label
_atom_site_fract_x
_atom_site_fract_y
_atom_site_fract_z
_atom_site_occupancy
Na1 0.0518 0.2500 0.4293 1
Na2 0.1979 0.7500 0.0010 1
Tl1 0.2331 0.2500 0.1793 1
Tl2 0.3856 0.0015 0.7913 1
Tl3 0.4089 0.7500 0.4376 1
Bi1 0.0144 0.2500 0.7721 1
```

=====

Pu2Sn2Sb: computed X-ray diffraction stick pattern (CuKα), based on the PBE geometry in Alexandria.

Largest 12 diffraction maxima, low angle first, 2θ from 10° to 90°:
4.033 Å, I = 60
2.945 Å, I = 22
2.767 Å, I = 100
2.691 Å, I = 24
2.552 Å, I = 79
2.379 Å, I = 35
2.082 Å, I = 48
2.018 Å, I = 29
1.647 Å, I = 23
1.613 Å, I = 41
1.449 Å, I = 21
1.416 Å, I = 22

```
data_Pu2Sn2Sb
_cell_length_a 4.1647
_cell_length_b 4.1647
_cell_length_c 16.1450
_cell_angle_alpha 90.00
_cell_angle_beta 90.00
_cell_angle_gamma 90.00
_space_group_name_H-M_alt 'I 4/m m m'
_space_group_IT_number 139
_space_group_name_Hall '-I 4 2'
loop_
_atom_site_label
_atom_site_fract_x
_atom_site_fract_y
_atom_site_fract_z
_atom_site_occupancy
Pu1 0.0000 0.0000 0.0892 1
Sn1 0.0000 0.5000 0.2500 1
Sb1 0.0000 0.0000 0.5000 1
```

=====

UNbO5: computed X-ray diffraction stick pattern (CuKα), based on the PBE geometry in Alexandria.

Largest 12 diffraction maxima, low angle first, 2θ from 10° to 90°:
6.516 Å, I = 21
4.139 Å, I = 64
3.494 Å, I = 17
3.260 Å, I = 100
2.561 Å, I = 60
2.069 Å, I = 12
1.882 Å, I = 23
1.747 Å, I = 24
1.713 Å, I = 22
1.630 Å, I = 11
1.517 Å, I = 11
1.392 Å, I = 12

```
data_UNbO5
_cell_length_a 7.5331
_cell_length_b 4.1390
_cell_length_c 13.0315
_cell_angle_alpha 90.00
_cell_angle_beta 90.00
_cell_angle_gamma 90.00
_space_group_name_H-M_alt 'P c c a'
_space_group_IT_number 54
loop_
_space_group_symop_operation_xyz
'x,y,z'
'-x,-y,-z'
'-x+1/2,-y,z'
'x+1/2,y,-z'
'x+1/2,-y,-z+1/2'
'-x+1/2,y,z+1/2'
'-x,y,-z+1/2'
'x,-y,z+1/2'
loop_
_atom_site_label
_atom_site_fract_x
_atom_site_fract_y
_atom_site_fract_z
_atom_site_occupancy
U1 0.2500 0.0000 0.0216 1
Nb1 0.0000 0.0831 0.2500 1
O1 0.0000 0.4834 0.7500 1
O2 0.0468 0.0143 0.4031 1
O3 0.2500 0.0000 0.2054 1
O4 0.2500 0.5000 0.0248 1
```

=====

NaLiAg3: computed X-ray diffraction stick pattern (CuKα), based on the PBE geometry in Alexandria.

Largest 12 diffraction maxima, low angle first, 2θ from 10° to 90°:
3.864 Å, I = 100
3.344 Å, I = 27
2.536 Å, I = 46
2.528 Å, I = 43
2.411 Å, I = 25
2.398 Å, I = 36
2.119 Å, I = 34
2.038 Å, I = 37
1.941 Å, I = 16
1.932 Å, I = 20
1.505 Å, I = 16
1.323 Å, I = 17

```
data_NaLiAg3
_cell_length_a 7.7003
_cell_length_b 3.8645
_cell_length_c 6.7339
_cell_angle_alpha 90.00
_cell_angle_beta 90.00
_cell_angle_gamma 90.00
_space_group_name_H-M_alt 'P m m a'
_space_group_IT_number 51
loop_
_space_group_symop_operation_xyz
'x,y,z'
'-x,-y,-z'
'-x+1/2,-y,z'
'x+1/2,y,-z'
'x+1/2,-y,-z'
'-x+1/2,y,z'
'-x,y,-z'
'x,-y,z'
loop_
_atom_site_label
_atom_site_fract_x
_atom_site_fract_y
_atom_site_fract_z
_atom_site_occupancy
Na1 0.2500 0.0000 0.0756 1
Li1 0.0000 0.0000 0.5000 1
Ag1 0.0592 0.5000 0.7969 1
Ag2 0.2500 0.5000 0.4367 1
```